# 1
Li2PaBeS4: simulated powder diffraction line list (a wavelength of 1.5418 Å), based on a DFT-relaxed cell (GGA-PBE, Alexandria).
No peak broadening, texture or thermal motion is included.

Peak list (8 most intense, 2θ from 10° to 90°, most intense first)
hkl	Position (°2θ)	intensity
1 0 1	18.93	100.0
1 1 0	16.50	85.1
0 1 1	20.33	77.1
1 2 0	27.78	51.2
2 0 0	20.94	51.0
0 1 0	12.76	47.1
0 0 2	31.83	46.9
2 1 0	24.59	46.6

Cell and atoms:
```
data_Li2PaBeS4
_chemical_formula_sum 'Li4 Pa2 Be2 S8'
_symmetry_space_group_name_H-M 'P m n 21'
_symmetry_Int_Tables_number 31
_symmetry_space_group_name_Hall 'P 2ac -2'
_cell_length_a 8.4858
_cell_length_b 6.9379
_cell_length_c 5.6230
_cell_angle_alpha 90.00
_cell_angle_beta 90.00
_cell_angle_gamma 90.00
loop_
_atom_site_label
_atom_site_type_symbol
_atom_site_fract_x
_atom_site_fract_y
_atom_site_fract_z
Li1 Li 0.2443 0.1582 0.0000
Pa1 Pa 0.0000 0.3414 0.4655
Be1 Be 0.0000 0.6747 0.0496
S1 S 0.0000 0.3645 0.9670
S2 S 0.0000 0.7104 0.4211
S3 S 0.2156 0.8090 0.9457
```

=====

# 2
Cu6PdPt2: simulated powder diffraction line list (a wavelength of 1.5418 Å), based on a DFT-relaxed cell (GGA-PBE, Alexandria).
No peak broadening, texture or thermal motion is included.

Peak list (8 most intense, 2θ from 10° to 90°, most intense first)
hkl	Position (°2θ)	intensity
2 0 -2	43.30	100.0
1 1 -1	24.60	43.0
1 1 2	42.16	42.9
2 2 1	42.27	42.6
3 1 0	42.38	42.3
0 6 0	79.44	15.9
0 2 3	61.94	13.5
0 4 3	78.53	13.4

Cell and atoms:
```
data_Cu6PdPt2
_chemical_formula_sum 'Cu12 Pd2 Pt4'
_symmetry_space_group_name_H-M 'C 1 2/m 1'
_symmetry_Int_Tables_number 12
_symmetry_space_group_name_Hall '-C 2y'
_cell_length_a 6.7300
_cell_length_b 7.2367
_cell_length_c 4.9625
_cell_angle_alpha 90.00
_cell_angle_beta 95.77
_cell_angle_gamma 90.00
loop_
_atom_site_label
_atom_site_type_symbol
_atom_site_fract_x
_atom_site_fract_y
_atom_site_fract_z
Cu1 Cu 0.0000 0.1667 0.0000
Cu2 Cu 0.1666 0.3332 0.6666
Pd1 Pd 0.0000 0.0000 0.5000
Pt1 Pt 0.1671 0.5000 0.1672
```

=====

# 3
Rb2In12Ag7: simulated powder diffraction line list (a wavelength of 1.5418 Å), based on a DFT-relaxed cell (GGA-PBE, Alexandria).
No peak broadening, texture or thermal motion is included.

Peak list (8 most intense, 2θ from 10° to 90°, most intense first)
hkl	Position (°2θ)	intensity
1 2 1	30.35	100.0
3 1 1	37.88	59.5
0 0 2	37.28	44.4
2 2 1	36.72	39.8
3 1 0	32.82	15.9
2 3 0	39.94	14.3
2 3 1	44.31	13.8
4 1 0	42.09	13.7

Cell and atoms:
```
data_Rb2In12Ag7
_chemical_formula_sum 'Rb2 In12 Ag7'
_symmetry_space_group_name_H-M 'P -6'
_symmetry_Int_Tables_number 174
_symmetry_space_group_name_Hall 'P -6'
_cell_length_a 11.3610
_cell_length_b 11.3610
_cell_length_c 4.8237
_cell_angle_alpha 90.00
_cell_angle_beta 90.00
_cell_angle_gamma 120.00
loop_
_atom_site_label
_atom_site_type_symbol
_atom_site_fract_x
_atom_site_fract_y
_atom_site_fract_z
Rb1 Rb 0.0000 0.0000 0.0000
Rb2 Rb 0.3333 0.6667 0.5000
In1 In 0.0219 0.7427 0.5000
In2 In 0.1401 0.3946 0.0000
In3 In 0.3738 0.1739 0.0000
In4 In 0.5519 0.1316 0.5000
Ag1 Ag 0.0322 0.5794 0.0000
Ag2 Ag 0.2519 0.0114 0.5000
Ag3 Ag 0.6667 0.3333 0.0000
```

=====

Q: Number 1 is which compound?
A: Li2PaBeS4

=====

Copy entry 3 word for word.
Rb2In12Ag7: simulated powder diffraction line list (a wavelength of 1.5418 Å), based on a DFT-relaxed cell (GGA-PBE, Alexandria).
No peak broadening, texture or thermal motion is included.

Peak list (8 most intense, 2θ from 10° to 90°, most intense first)
hkl	Position (°2θ)	intensity
1 2 1	30.35	100.0
3 1 1	37.88	59.5
0 0 2	37.28	44.4
2 2 1	36.72	39.8
3 1 0	32.82	15.9
2 3 0	39.94	14.3
2 3 1	44.31	13.8
4 1 0	42.09	13.7

Cell and atoms:
```
data_Rb2In12Ag7
_chemical_formula_sum 'Rb2 In12 Ag7'
_symmetry_space_group_name_H-M 'P -6'
_symmetry_Int_Tables_number 174
_symmetry_space_group_name_Hall 'P -6'
_cell_length_a 11.3610
_cell_length_b 11.3610
_cell_length_c 4.8237
_cell_angle_alpha 90.00
_cell_angle_beta 90.00
_cell_angle_gamma 120.00
loop_
_atom_site_label
_atom_site_type_symbol
_atom_site_fract_x
_atom_site_fract_y
_atom_site_fract_z
Rb1 Rb 0.0000 0.0000 0.0000
Rb2 Rb 0.3333 0.6667 0.5000
In1 In 0.0219 0.7427 0.5000
In2 In 0.1401 0.3946 0.0000
In3 In 0.3738 0.1739 0.0000
In4 In 0.5519 0.1316 0.5000
Ag1 Ag 0.0322 0.5794 0.0000
Ag2 Ag 0.2519 0.0114 0.5000
Ag3 Ag 0.6667 0.3333 0.0000
```